Starting from the PBE geometry in Alexandria, the powder X-ray diffraction pattern of MnCuCSBr was simulated for Cu Kα X-rays.
Intensities are scaled so that the largest is 100.

Crystal structure
Unit cell a=4.300 b=3.222 c=6.210 alpha=90.00 beta=103.50 gamma=90.00
Space group Pm (No. 6)
Inequivalent atoms, fractional coordinates:
Mn1 0.000 0.000 0.000
Cu1 0.420 0.000 0.335
C1 0.311 0.500 0.117
S1 0.582 0.500 0.948
Br1 0.950 0.000 0.571

Most intense lines, 2θ from 5° to 70°, in order of rising 2θ:
2θ/deg, d/Å, I_rel, hkl
22.87, 3.889, 45.0, 1 0 -1
27.69, 3.222, 100.0, 0 1 0
31.47, 2.842, 51.2, 0 1 1
32.27, 2.774, 91.4, 1 0 -2
35.16, 2.552, 45.7, 1 1 0
36.21, 2.481, 61.9, 1 1 -1
43.03, 2.102, 50.6, 1 1 -2
43.27, 2.091, 39.5, 2 0 0
49.97, 1.825, 79.1, 1 1 2
52.15, 1.754, 47.6, 2 1 0